For Tb4Si2Sb, a structure optimized by DFT (GGA-PBE) gives the computed powder XRD pattern in this record (λ = 1.5418 Å (Cu Kα)).

Crystal structure
a = 9.339 Å, b = 9.339 Å, c = 9.333 Å
α = 90.00°, β = 90.00°, γ = 90.00°
Space group I4_1/amd (No. 141, origin choice 2)
Symmetry-distinct sites (fractional):
Tb1 0.000 0.069 0.208
Si1 0.000 0.000 0.500
Sb1 0.000 0.250 0.875

Main lines, low angle first (2θ from 5° to 70°):
d = 4.670 Å, intensity 23, (2 0 0); d = 3.301 Å, intensity 75, (2 0 2); d = 2.952 Å, intensity 100, (3 0 1); d = 2.496 Å, intensity 57, (3 2 1); d = 2.335 Å, intensity 16, (4 0 0); d = 1.991 Å, intensity 32, (3 3 2); d = 1.831 Å, intensity 41, (3 1 4); d = 1.601 Å, intensity 17, (5 0 3); d = 1.556 Å, intensity 15, (6 0 0); d = 1.377 Å, intensity 18, (6 3 1)



For SiSbTe2, a structure optimized by DFT (GGA-PBE) gives the computed powder XRD pattern in this record (λ = 1.5418 Å (Cu Kα)).

Crystal structure
a = 6.065 Å, b = 8.672 Å, c = 8.711 Å
α = 90.00°, β = 90.00°, γ = 90.00°
Space group Fmmm (No. 69)
Symmetry-distinct sites (fractional):
Si1 0.000 0.000 0.000
Sb1 0.000 0.000 0.500
Te1 0.000 0.250 0.250

Main lines, low angle first (2θ from 5° to 70°):
d = 4.317 Å, intensity 24, (1 1 1); d = 3.073 Å, intensity 100, (0 2 2); d = 3.033 Å, intensity 48, (2 0 0); d = 2.178 Å, intensity 19, (0 0 4); d = 2.168 Å, intensity 19, (0 4 0); d = 2.159 Å, intensity 73, (2 2 2); d = 1.769 Å, intensity 20, (2 0 4); d = 1.764 Å, intensity 19, (2 4 0); d = 1.371 Å, intensity 25, (2 4 4); d = 1.360 Å, intensity 16, (4 2 2)



For Ti4SiSb, a structure optimized by DFT (GGA-PBE) gives the computed powder XRD pattern in this record (λ = 1.5418 Å (Cu Kα)).

Crystal structure
a = 13.612 Å, b = 5.059 Å, c = 6.582 Å
α = 90.00°, β = 103.45°, γ = 90.00°
Space group C2/c (No. 15)
Symmetry-distinct sites (fractional):
Ti1 0.076 0.115 0.435
Ti2 0.175 0.354 0.128
Si1 0.250 0.250 0.500
Sb1 0.000 0.381 0.750

Main lines, low angle first (2θ from 5° to 70°):
d = 6.619 Å, intensity 62, (2 0 0); d = 3.188 Å, intensity 37, (3 1 -1); d = 2.760 Å, intensity 61, (3 1 1); d = 2.626 Å, intensity 60, (4 0 -2); d = 2.553 Å, intensity 67, (1 1 2); d = 2.346 Å, intensity 39, (5 1 0); d = 2.279 Å, intensity 100, (2 2 -1); d = 2.069 Å, intensity 23, (5 1 1); d = 2.008 Å, intensity 44, (1 1 -3); d = 1.439 Å, intensity 19, (6 2 -3)



For TlSiSb, a structure optimized by DFT (GGA-PBE) gives the computed powder XRD pattern in this record (λ = 1.5418 Å (Cu Kα)).

Crystal structure
a = 9.761 Å, b = 9.761 Å, c = 3.923 Å
α = 90.00°, β = 90.00°, γ = 90.00°
Space group P4_2/m (No. 84)
Symmetry-distinct sites (fractional):
Tl1 0.029 0.770 0.000
Si1 0.257 0.670 0.500
Sb1 0.221 0.399 0.500

Main lines, low angle first (2θ from 5° to 70°):
d = 9.761 Å, intensity 38, (1 0 0); d = 3.451 Å, intensity 36, (2 2 0); d = 3.410 Å, intensity 12, (1 1 1); d = 3.087 Å, intensity 29, (3 1 0); d = 3.058 Å, intensity 100, (2 0 1); d = 2.707 Å, intensity 26, (2 3 0); d = 2.504 Å, intensity 27, (3 0 1); d = 1.985 Å, intensity 15, (3 3 1); d = 1.952 Å, intensity 14, (5 0 0); d = 1.645 Å, intensity 14, (2 5 1)



For Tm4SiSb2, a structure optimized by DFT (GGA-PBE) gives the computed powder XRD pattern in this record (λ = 1.5418 Å (Cu Kα)).

Crystal structure
a = 9.244 Å, b = 9.260 Å, c = 9.247 Å
α = 90.00°, β = 90.00°, γ = 90.00°
Space group Imma (No. 74)
Symmetry-distinct sites (fractional):
Tm1 0.000 0.052 0.183
Tm2 0.198 0.250 0.567
Si1 0.000 0.250 0.874
Sb1 0.000 0.000 0.500
Sb2 0.250 0.250 0.250

Main lines, low angle first (2θ from 5° to 70°):
d = 3.271 Å, intensity 100, (2 2 0); d = 2.925 Å, intensity 81, (1 0 3); d = 2.472 Å, intensity 65, (2 1 3); d = 2.313 Å, intensity 32, (0 4 0); d = 2.180 Å, intensity 21, (3 0 3); d = 1.972 Å, intensity 47, (3 3 2); d = 1.814 Å, intensity 38, (1 3 4); d = 1.689 Å, intensity 17, (5 1 2); d = 1.586 Å, intensity 14, (0 5 3); d = 1.462 Å, intensity 18, (2 0 6)



For Tm5Si2Sb2, a structure optimized by DFT (GGA-PBE) gives the computed powder XRD pattern in this record (λ = 1.5418 Å (Cu Kα)).

Crystal structure
a = 14.927 Å, b = 7.737 Å, c = 7.761 Å
α = 90.00°, β = 90.00°, γ = 90.00°
Space group Cmce (No. 64)
Symmetry-distinct sites (fractional):
Tm1 0.000 0.000 0.000
Tm2 0.125 0.165 0.335
Si1 0.000 0.133 0.632
Sb1 0.206 0.000 0.000

Main lines, low angle first (2θ from 5° to 70°):
d = 3.462 Å, intensity 54, (0 2 1); d = 3.379 Å, intensity 47, (1 1 2); d = 2.846 Å, intensity 49, (3 1 2); d = 2.740 Å, intensity 45, (0 2 2); d = 2.688 Å, intensity 94, (4 0 2); d = 2.622 Å, intensity 62, (5 1 1); d = 2.538 Å, intensity 67, (4 2 1); d = 2.418 Å, intensity 100, (1 3 1); d = 2.263 Å, intensity 26, (5 1 2); d = 1.558 Å, intensity 36, (5 3 3)



For YSiSb2, a structure optimized by DFT (GGA-PBE) gives the computed powder XRD pattern in this record (λ = 1.5418 Å (Cu Kα)).

Crystal structure
a = 4.200 Å, b = 4.154 Å, c = 6.284 Å
α = 90.00°, β = 106.82°, γ = 90.00°
Space group Pm (No. 6)
Symmetry-distinct sites (fractional):
Y1 0.000 0.000 0.000
Si1 0.514 0.500 0.221
Sb1 0.430 0.500 0.793
Sb2 0.817 0.000 0.456

Main lines, low angle first (2θ from 5° to 70°):
d = 3.418 Å, intensity 28, (0 1 1); d = 2.969 Å, intensity 27, (1 0 1); d = 2.889 Å, intensity 100, (1 1 0); d = 2.845 Å, intensity 32, (1 1 -1); d = 2.833 Å, intensity 48, (1 0 -2); d = 2.436 Å, intensity 63, (0 1 2); d = 2.098 Å, intensity 17, (2 0 -1); d = 2.077 Å, intensity 24, (0 2 0); d = 1.675 Å, intensity 20, (1 2 -2); d = 1.620 Å, intensity 15, (2 1 1)



For Sm5Sb3, a structure optimized by DFT (GGA-PBE) gives the computed powder XRD pattern in this record (λ = 1.5418 Å (Cu Kα)).

Crystal structure
a = 9.2110 Å, b = 9.2110 Å, c = 6.4420 Å
α = 90.00°, β = 90.00°, γ = 120.00°
Space group P6_3/mcm (No. 193)
Symmetry-distinct sites (fractional):
Sm1 0.0000 0.2486 0.2500
Sm2 0.3333 0.6667 0.0000
Sb1 0.0000 0.3874 0.7500

Main lines, low angle first (2θ from 5° to 70°):
d = 3.221 Å, intensity 17, (0 0 2); d = 3.015 Å, intensity 32, (2 1 0); d = 2.987 Å, intensity 18, (1 0 2); d = 2.731 Å, intensity 100, (2 1 1); d = 2.659 Å, intensity 55, (3 0 0); d = 2.640 Å, intensity 86, (1 1 2); d = 1.873 Å, intensity 23, (2 2 2); d = 1.760 Å, intensity 15, (3 2 1); d = 1.749 Å, intensity 27, (2 1 3); d = 1.696 Å, intensity 15, (4 0 2)